1.
# ThSc2S4
Theoretical X-ray powder pattern, Cu Kα. Input: DFT lattice parameters and positions (PBE).

Cell and atoms:
Lattice parameters (Å, degrees): 6.386 6.386 12.664 90.00 90.00 145.64
Sites, in units of the cell vectors:
1 Th 0.119 0.881 0.750
2 Th 0.881 0.119 0.250
3 Sc 0.369 0.631 0.561
4 Sc 0.369 0.631 0.939
5 Sc 0.631 0.369 0.061
6 Sc 0.631 0.369 0.439
7 S 0.000 0.000 0.000
8 S 0.000 0.000 0.500
9 S 0.269 0.731 0.119
10 S 0.269 0.731 0.381
11 S 0.449 0.551 0.750
12 S 0.551 0.449 0.250
13 S 0.731 0.269 0.619
14 S 0.731 0.269 0.881

Principal peaks in the range 10 to 90 degrees two-theta, by angle:
2θ/deg  I/Imax
13.99  379
16.13  795
25.68  1000
32.63  389
33.16  641
35.42  460

---

2.
# ScTi5S6
Theoretical X-ray powder pattern, Cu Kα. Input: DFT lattice parameters and positions (PBE).

Cell and atoms:
Lattice parameters (Å, degrees): 6.185 6.185 6.099 99.48 99.48 120.55
Sites, in units of the cell vectors:
1 Sc 0.000 0.000 0.000
2 Ti 0.181 0.819 0.500
3 Ti 0.321 0.679 0.000
4 Ti 0.500 0.500 0.500
5 Ti 0.679 0.321 0.000
6 Ti 0.819 0.181 0.500
7 S 0.088 0.419 0.253
8 S 0.254 0.254 0.747
9 S 0.419 0.088 0.253
10 S 0.581 0.912 0.747
11 S 0.746 0.746 0.253
12 S 0.912 0.581 0.747

Principal peaks in the range 10 to 90 degrees two-theta, by angle:
2θ/deg  I/Imax
35.69  1000
35.98  500
51.01  150
51.47  313
51.71  466
64.00  143

---

3.
# Sc2Ti4S9
Theoretical X-ray powder pattern, Cu Kα. Input: DFT lattice parameters and positions (PBE).

Cell and atoms:
Lattice parameters (Å, degrees): 6.187 6.187 17.241 90.00 90.00 120.00
Sites, in units of the cell vectors:
1 Sc 0.000 0.000 0.158
2 Sc 0.000 0.000 0.342
3 Sc 0.000 0.000 0.658
4 Sc 0.000 0.000 0.842
5 Ti 0.333 0.667 0.000
6 Ti 0.333 0.667 0.330
7 Ti 0.333 0.667 0.500
8 Ti 0.333 0.667 0.830
9 Ti 0.667 0.333 0.000
10 Ti 0.667 0.333 0.170
11 Ti 0.667 0.333 0.500
12 Ti 0.667 0.333 0.670
13 S 0.000 0.331 0.250
14 S 0.000 0.669 0.750
15 S 0.008 0.356 0.917
16 S 0.008 0.652 0.417
17 S 0.331 0.000 0.250
18 S 0.331 0.331 0.750
19 S 0.348 0.356 0.417
20 S 0.348 0.992 0.917
21 S 0.356 0.008 0.583
22 S 0.356 0.348 0.083
23 S 0.644 0.652 0.917
24 S 0.644 0.992 0.417
25 S 0.652 0.008 0.083
26 S 0.652 0.644 0.583
27 S 0.669 0.000 0.750
28 S 0.669 0.669 0.250
29 S 0.992 0.348 0.583
30 S 0.992 0.644 0.083

Principal peaks in the range 10 to 90 degrees two-theta, by angle:
2θ/deg  I/Imax
19.51  493
26.54  266
32.88  833
42.96  1000
51.15  514
68.95  210